Structure and theoretical PXRD pattern of Li5Mn2V5O12 (DFT lattice parameters and positions (GGA+U); Cu Kα).

Cell and atoms:
Cell: 5.245 5.245 9.979 Å, 94.98 94.98 119.32°
Sites, in units of the cell vectors:
Li: 0.000 0.000 0.000
Li: 0.065 0.390 0.235
Li: 0.255 0.255 0.762
Li: 0.610 0.935 0.765
Li: 0.745 0.745 0.238
Mn: 0.159 0.841 0.500
Mn: 0.672 0.328 0.000
V: 0.341 0.659 0.000
V: 0.401 0.081 0.241
V: 0.490 0.510 0.500
V: 0.829 0.171 0.500
V: 0.919 0.599 0.759
O: 0.077 0.719 0.130
O: 0.133 0.153 0.381
O: 0.179 0.524 0.617
O: 0.281 0.923 0.870
O: 0.374 0.365 0.127
O: 0.476 0.821 0.383
O: 0.564 0.247 0.622
O: 0.635 0.626 0.873
O: 0.678 0.017 0.124
O: 0.753 0.436 0.378
O: 0.847 0.867 0.619
O: 0.983 0.322 0.876

Most intense lines, 15° ≤ 2θ ≤ 90°, sorted by position:
d 4.915, intensity 35; d 4.525, intensity 24; d 4.362, intensity 15; d 3.894, intensity 31; d 2.864, intensity 13; d 2.580, intensity 12; d 2.473, intensity 18; d 2.157, intensity 55; d 2.134, intensity 100; d 1.524, intensity 27; d 1.509, intensity 53; d 1.236, intensity 12

Structure and theoretical PXRD pattern of Li2MnV3O8 (DFT lattice parameters and positions (GGA+U); Cu Kα).

Cell and atoms:
Cell: 5.963 5.963 10.335 Å, 106.44 106.44 59.82°
Sites, in units of the cell vectors:
Li: 0.060 0.569 0.690
Li: 0.431 0.940 0.810
Li: 0.569 0.060 0.190
Li: 0.940 0.431 0.310
Mn: 0.259 0.741 0.250
Mn: 0.741 0.259 0.750
V: 0.000 0.000 0.000
V: 0.000 0.000 0.500
V: 0.000 0.500 0.000
V: 0.500 0.000 0.500
V: 0.500 0.500 0.000
V: 0.500 0.500 0.500
O: 0.081 0.149 0.876
O: 0.146 0.626 0.896
O: 0.149 0.081 0.376
O: 0.154 0.632 0.376
O: 0.368 0.405 0.122
O: 0.368 0.846 0.124
O: 0.374 0.854 0.604
O: 0.405 0.368 0.622
O: 0.595 0.632 0.378
O: 0.626 0.146 0.396
O: 0.632 0.154 0.876
O: 0.632 0.595 0.878
O: 0.846 0.368 0.624
O: 0.851 0.919 0.624
O: 0.854 0.374 0.104
O: 0.919 0.851 0.124

Most intense lines, 15° ≤ 2θ ≤ 90°, sorted by position:
d 4.885, intensity 92; d 4.857, intensity 100; d 2.552, intensity 31; d 2.540, intensity 57; d 2.112, intensity 73; d 2.104, intensity 37; d 1.628, intensity 13; d 1.622, intensity 18; d 1.500, intensity 11; d 1.491, intensity 43; d 1.487, intensity 11; d 1.425, intensity 9

Structure and theoretical PXRD pattern of Li2MnV4O14 (DFT lattice parameters and positions (GGA+U); Cu Kα).

Cell and atoms:
Cell: 10.549 10.549 7.703 Å, 93.39 93.39 19.75°
Sites, in units of the cell vectors:
Li: 0.233 0.233 0.157
Li: 0.767 0.767 0.843
Mn: 0.000 0.000 0.000
V: 0.104 0.104 0.385
V: 0.405 0.405 0.288
V: 0.595 0.595 0.712
V: 0.896 0.896 0.615
O: 0.068 0.068 0.177
O: 0.082 0.082 0.643
O: 0.182 0.182 0.369
O: 0.288 0.288 0.928
O: 0.329 0.329 0.208
O: 0.415 0.415 0.551
O: 0.458 0.458 0.121
O: 0.542 0.542 0.879
O: 0.585 0.585 0.449
O: 0.671 0.671 0.792
O: 0.712 0.712 0.072
O: 0.818 0.818 0.631
O: 0.918 0.918 0.357
O: 0.932 0.932 0.823

Most intense lines, 15° ≤ 2θ ≤ 90°, sorted by position:
d 5.187, intensity 38; d 4.425, intensity 43; d 4.185, intensity 100; d 3.458, intensity 24; d 3.246, intensity 31; d 3.223, intensity 59; d 2.988, intensity 99; d 2.600, intensity 26; d 2.524, intensity 26; d 2.073, intensity 23; d 1.809, intensity 31; d 1.770, intensity 26